# 1
# Pm4Ir3Au
Theoretical PXRD pattern, CuKα. Input: a GGA-PBE-relaxed structure.

```
data_Pm4Ir3Au
_symmetry_space_group_name_H-M 'R -3 m'
_symmetry_Int_Tables_number 166
_symmetry_space_group_name_Hall '-R 3 2"'
_cell_length_a 5.0342
_cell_length_b 5.0342
_cell_length_c 24.7073
_cell_angle_alpha 90.00
_cell_angle_beta 90.00
_cell_angle_gamma 120.00
loop_
_atom_site_label
_atom_site_type_symbol
_atom_site_fract_x
_atom_site_fract_y
_atom_site_fract_z
Pm1 Pm 0.0000 0.0000 0.1217
Pm2 Pm 0.0000 0.0000 0.3725
Ir1 Ir 0.0000 0.0000 0.0000
Ir2 Ir 0.0000 0.0000 0.2501
Au1 Au 0.0000 0.0000 0.5000
```

The 10 most intense peaks (15° ≤ 2θ ≤ 90°), by angle:
| h k l | 2θ/deg | intensity |
| --- | --- | --- |
| 1 0 4 | 25.00 | 2.0 |
| 1 1 0 | 35.65 | 100.0 |
| 0 0 12 | 44.03 | 0.7 |
| 2 0 8 | 51.30 | 17.8 |
| 1 1 12 | 57.89 | 1.0 |
| 1 2 8 | 64.02 | 27.3 |
| 3 0 0 | 64.08 | 9.2 |
| 0 2 16 | 75.44 | 5.6 |
| 2 2 0 | 75.55 | 5.8 |
| 3 1 8 | 86.38 | 16.4 |

***

# 2
# Pm2IrAu
Theoretical PXRD pattern, CuKα. Input: a GGA-PBE-relaxed structure.

```
data_Pm2IrAu
_symmetry_space_group_name_H-M 'R 3 m'
_symmetry_Int_Tables_number 160
_symmetry_space_group_name_Hall 'R 3 -2"'
_cell_length_a 4.1532
_cell_length_b 4.1532
_cell_length_c 21.5677
_cell_angle_alpha 90.00
_cell_angle_beta 90.00
_cell_angle_gamma 120.00
loop_
_atom_site_label
_atom_site_type_symbol
_atom_site_fract_x
_atom_site_fract_y
_atom_site_fract_z
Pm1 Pm 0.0000 0.0000 0.0000
Pm2 Pm 0.0000 0.0000 0.1897
Ir1 Ir 0.0000 0.0000 0.5959
Au1 Au 0.0000 0.0000 0.7600
```

The 12 most intense peaks (15° ≤ 2θ ≤ 90°), by angle:
| h k l | 2θ/deg | intensity |
| --- | --- | --- |
| 1 0 1 | 25.10 | 16.8 |
| 0 1 2 | 26.12 | 35.1 |
| 1 0 4 | 29.86 | 15.2 |
| 0 1 5 | 32.41 | 100.0 |
| 1 0 7 | 38.47 | 41.5 |
| 1 1 0 | 43.58 | 58.4 |
| 1 0 10 | 49.26 | 12.9 |
| 0 0 12 | 50.79 | 11.4 |
| 2 0 5 | 55.35 | 22.2 |
| 0 2 7 | 59.52 | 11.8 |
| 1 1 12 | 69.12 | 21.5 |
| 1 2 5 | 72.97 | 19.6 |

***

# 3
# Pm5Ir2Au2
Theoretical PXRD pattern, CuKα. Input: a GGA-PBE-relaxed structure.

```
data_Pm5Ir2Au2
_symmetry_space_group_name_H-M 'C m c e'
_symmetry_Int_Tables_number 64
_symmetry_space_group_name_Hall '-C 2ac 2'
_cell_length_a 15.3137
_cell_length_b 7.7502
_cell_length_c 7.8672
_cell_angle_alpha 90.00
_cell_angle_beta 90.00
_cell_angle_gamma 90.00
loop_
_atom_site_label
_atom_site_type_symbol
_atom_site_fract_x
_atom_site_fract_y
_atom_site_fract_z
Pm1 Pm 0.0000 0.0000 0.0000
Pm2 Pm 0.1278 0.1715 0.3293
Ir1 Ir 0.0000 0.1288 0.6288
Au1 Au 0.2070 0.0000 0.0000
```

The 12 most intense peaks (15° ≤ 2θ ≤ 90°), by angle:
| h k l | 2θ/deg | intensity |
| --- | --- | --- |
| 2 2 1 | 28.19 | 29.2 |
| 3 1 2 | 30.93 | 98.8 |
| 0 2 2 | 32.43 | 63.7 |
| 4 0 2 | 32.64 | 48.6 |
| 4 2 0 | 32.89 | 48.4 |
| 5 1 1 | 33.46 | 43.8 |
| 4 2 1 | 34.86 | 100.0 |
| 1 1 3 | 36.65 | 73.1 |
| 1 3 1 | 37.10 | 71.1 |
| 5 1 2 | 39.04 | 45.4 |
| 8 0 0 | 47.48 | 42.9 |
| 5 5 1 | 68.94 | 38.4 |

***

# 4
# Pr5IrAu2
Theoretical PXRD pattern, CuKα. Input: a GGA-PBE-relaxed structure.

```
data_Pr5IrAu2
_symmetry_space_group_name_H-M 'P b a m'
_symmetry_Int_Tables_number 55
_cell_length_a 9.0369
_cell_length_b 12.3280
_cell_length_c 4.2496
_cell_angle_alpha 90.00
_cell_angle_beta 90.00
_cell_angle_gamma 90.00
loop_
_symmetry_equiv_pos_as_xyz
'x,y,z'
'-x,-y,-z'
'-x,-y,z'
'x,y,-z'
'x+1/2,-y+1/2,-z'
'-x+1/2,y+1/2,z'
'-x+1/2,y+1/2,-z'
'x+1/2,-y+1/2,z'
loop_
_atom_site_label
_atom_site_type_symbol
_atom_site_fract_x
_atom_site_fract_y
_atom_site_fract_z
Pr1 Pr 0.0000 0.0000 0.0000
Pr2 Pr 0.1463 0.2969 0.0000
Pr3 Pr 0.1795 0.5806 0.5000
Ir1 Ir 0.0000 0.5000 0.0000
Au1 Au 0.0673 0.8234 0.5000
```

The 12 most intense peaks (15° ≤ 2θ ≤ 90°), by angle:
| h k l | 2θ/deg | intensity |
| --- | --- | --- |
| 2 0 0 | 19.65 | 19.1 |
| 2 1 1 | 29.76 | 100.0 |
| 1 4 0 | 30.63 | 53.1 |
| 1 3 1 | 31.87 | 41.8 |
| 2 2 1 | 32.36 | 83.8 |
| 3 2 0 | 33.10 | 16.5 |
| 0 4 1 | 36.00 | 33.8 |
| 0 0 2 | 42.57 | 53.1 |
| 1 5 1 | 43.61 | 30.5 |
| 4 2 1 | 47.93 | 20.0 |
| 2 6 0 | 48.68 | 17.6 |
| 1 4 2 | 53.33 | 22.4 |

***

# 5
# Pr8Ir2Au
Theoretical PXRD pattern, CuKα. Input: a GGA-PBE-relaxed structure.

```
data_Pr8Ir2Au
_symmetry_space_group_name_H-M 'C 1 2/m 1'
_symmetry_Int_Tables_number 12
_cell_length_a 8.6737
_cell_length_b 13.6753
_cell_length_c 5.9611
_cell_angle_alpha 90.00
_cell_angle_beta 108.14
_cell_angle_gamma 90.00
loop_
_symmetry_equiv_pos_as_xyz
'x,y,z'
'-x,-y,-z'
'-x,y,-z'
'x,-y,z'
'x+1/2,y+1/2,z'
'-x+1/2,-y+1/2,-z'
'-x+1/2,y+1/2,-z'
'x+1/2,-y+1/2,z'
loop_
_atom_site_label
_atom_site_type_symbol
_atom_site_fract_x
_atom_site_fract_y
_atom_site_fract_z
Pr1 Pr 0.0000 0.2318 0.0000
Pr2 Pr 0.1206 0.5000 0.8194
Pr3 Pr 0.2116 0.1247 0.5697
Ir1 Ir 0.0000 0.2930 0.5000
Au1 Au 0.0000 0.0000 0.0000
```

The 12 most intense peaks (15° ≤ 2θ ≤ 90°), by angle:
| h k l | 2θ/deg | intensity |
| --- | --- | --- |
| 0 2 1 | 20.36 | 27.5 |
| 2 2 0 | 25.24 | 23.2 |
| 1 3 1 | 29.26 | 23.2 |
| 2 0 1 | 30.54 | 100.0 |
| 1 1 -2 | 30.72 | 46.6 |
| 0 0 2 | 31.59 | 39.1 |
| 3 1 -1 | 32.14 | 65.6 |
| 2 4 0 | 34.07 | 78.2 |
| 1 5 -1 | 36.64 | 55.2 |
| 3 3 0 | 38.25 | 29.4 |
| 2 4 2 | 51.92 | 34.3 |
| 1 1 3 | 53.49 | 24.3 |

***

# 6
# Pr5Ir2Au2
Theoretical PXRD pattern, CuKα. Input: a GGA-PBE-relaxed structure.

```
data_Pr5Ir2Au2
_symmetry_space_group_name_H-M 'C m c e'
_symmetry_Int_Tables_number 64
_symmetry_space_group_name_Hall '-C 2ac 2'
_cell_length_a 15.4818
_cell_length_b 7.8666
_cell_length_c 7.9850
_cell_angle_alpha 90.00
_cell_angle_beta 90.00
_cell_angle_gamma 90.00
loop_
_atom_site_label
_atom_site_type_symbol
_atom_site_fract_x
_atom_site_fract_y
_atom_site_fract_z
Pr1 Pr 0.0000 0.0000 0.0000
Pr2 Pr 0.1278 0.1720 0.3288
Ir1 Ir 0.0000 0.1275 0.6272
Au1 Au 0.2072 0.0000 0.0000
```

The 12 most intense peaks (15° ≤ 2θ ≤ 90°), by angle:
| h k l | 2θ/deg | intensity |
| --- | --- | --- |
| 2 2 1 | 27.79 | 30.2 |
| 3 1 2 | 30.50 | 99.4 |
| 0 2 2 | 31.94 | 65.9 |
| 4 0 2 | 32.21 | 50.6 |
| 4 2 0 | 32.45 | 50.1 |
| 5 1 1 | 33.05 | 43.2 |
| 4 2 1 | 34.39 | 100.0 |
| 1 1 3 | 36.09 | 73.4 |
| 1 3 1 | 36.53 | 71.7 |
| 5 1 2 | 38.53 | 45.7 |
| 8 0 0 | 46.98 | 31.3 |
| 5 5 1 | 67.83 | 32.7 |

***

# 7
# PuSnIrAu
Theoretical PXRD pattern, CuKα. Input: a GGA-PBE-relaxed structure.

```
data_PuSnIrAu
_symmetry_space_group_name_H-M 'F -4 3 m'
_symmetry_Int_Tables_number 216
_symmetry_space_group_name_Hall 'F -4 2 3'
_cell_length_a 6.9051
_cell_length_b 6.9051
_cell_length_c 6.9051
_cell_angle_alpha 90.00
_cell_angle_beta 90.00
_cell_angle_gamma 90.00
loop_
_atom_site_label
_atom_site_type_symbol
_atom_site_fract_x
_atom_site_fract_y
_atom_site_fract_z
Pu1 Pu 0.0000 0.0000 0.0000
Sn1 Sn 0.0000 0.0000 0.5000
Ir1 Ir 0.2500 0.2500 0.7500
Au1 Au 0.2500 0.2500 0.2500
```

The 10 most intense peaks (15° ≤ 2θ ≤ 90°), by angle:
| h k l | 2θ/deg | intensity |
| --- | --- | --- |
| 1 1 1 | 22.30 | 5.3 |
| 2 2 0 | 36.82 | 100.0 |
| 3 1 1 | 43.47 | 2.9 |
| 4 0 0 | 53.05 | 17.9 |
| 3 3 1 | 58.24 | 1.3 |
| 4 2 2 | 66.32 | 37.1 |
| 5 1 1 | 70.92 | 0.9 |
| 4 4 0 | 78.33 | 11.8 |
| 5 3 1 | 82.68 | 0.9 |
| 6 2 0 | 89.84 | 17.8 |

***

# 8
# RbIr2Au
Theoretical PXRD pattern, CuKα. Input: a GGA-PBE-relaxed structure.

```
data_RbIr2Au
_symmetry_space_group_name_H-M 'I -4 2 d'
_symmetry_Int_Tables_number 122
_symmetry_space_group_name_Hall 'I -4 2bw'
_cell_length_a 4.7919
_cell_length_b 4.7919
_cell_length_c 19.1627
_cell_angle_alpha 90.00
_cell_angle_beta 90.00
_cell_angle_gamma 90.00
loop_
_atom_site_label
_atom_site_type_symbol
_atom_site_fract_x
_atom_site_fract_y
_atom_site_fract_z
Rb1 Rb 0.0000 0.0000 0.0000
Ir1 Ir 0.0300 0.2500 0.6250
Au1 Au 0.0000 0.0000 0.5000
```

The 12 most intense peaks (15° ≤ 2θ ≤ 90°), by angle:
| h k l | 2θ/deg | intensity |
| --- | --- | --- |
| 1 0 1 | 19.09 | 100.0 |
| 1 1 2 | 27.93 | 50.6 |
| 0 0 8 | 37.55 | 39.6 |
| 1 0 7 | 37.85 | 18.6 |
| 2 0 2 | 38.74 | 54.2 |
| 2 0 4 | 42.17 | 17.4 |
| 2 1 3 | 44.60 | 25.3 |
| 2 0 6 | 47.44 | 18.6 |
| 2 1 5 | 48.68 | 19.7 |
| 2 2 4 | 57.72 | 31.9 |
| 2 0 10 | 62.01 | 19.2 |
| 2 2 12 | 83.12 | 11.6 |

***

# 9
# Ti2IrRhAu
Theoretical PXRD pattern, CuKα. Input: a GGA-PBE-relaxed structure.

```
data_Ti2IrRhAu
_symmetry_space_group_name_H-M 'P 4/m m m'
_symmetry_Int_Tables_number 123
_symmetry_space_group_name_Hall '-P 4 2'
_cell_length_a 4.5025
_cell_length_b 4.5025
_cell_length_c 4.9104
_cell_angle_alpha 90.00
_cell_angle_beta 90.00
_cell_angle_gamma 90.00
loop_
_atom_site_label
_atom_site_type_symbol
_atom_site_fract_x
_atom_site_fract_y
_atom_site_fract_z
Ti1 Ti 0.0000 0.5000 0.0000
Ir1 Ir 0.0000 0.0000 0.5000
Rh1 Rh 0.5000 0.5000 0.0000
Au1 Au 0.5000 0.5000 0.5000
```

The 12 most intense peaks (15° ≤ 2θ ≤ 90°), by angle:
| h k l | 2θ/deg | intensity |
| --- | --- | --- |
| 0 0 1 | 18.07 | 24.5 |
| 1 0 0 | 19.72 | 17.6 |
| 1 1 0 | 28.03 | 88.0 |
| 1 1 1 | 33.55 | 100.0 |
| 0 0 2 | 36.60 | 48.2 |
| 2 0 0 | 40.05 | 75.0 |
| 1 1 2 | 46.72 | 45.6 |
| 2 0 2 | 55.37 | 57.8 |
| 2 2 0 | 57.93 | 25.2 |
| 3 1 1 | 68.63 | 25.0 |
| 2 2 2 | 70.50 | 27.8 |
| 3 1 2 | 77.50 | 21.6 |

***

# 10
# IrRuAu4
Theoretical PXRD pattern, CuKα. Input: a GGA-PBE-relaxed structure.

```
data_IrRuAu4
_symmetry_space_group_name_H-M 'F -4 3 m'
_symmetry_Int_Tables_number 216
_symmetry_space_group_name_Hall 'F -4 2 3'
_cell_length_a 7.5829
_cell_length_b 7.5829
_cell_length_c 7.5829
_cell_angle_alpha 90.00
_cell_angle_beta 90.00
_cell_angle_gamma 90.00
loop_
_atom_site_label
_atom_site_type_symbol
_atom_site_fract_x
_atom_site_fract_y
_atom_site_fract_z
Ir1 Ir 0.0000 0.0000 0.0000
Ru1 Ru 0.2500 0.2500 0.7500
Au1 Au 0.1251 0.1251 0.3749
```

The 12 most intense peaks (15° ≤ 2θ ≤ 90°), by angle:
| h k l | 2θ/deg | intensity |
| --- | --- | --- |
| 1 1 1 | 20.28 | 18.2 |
| 2 2 0 | 33.42 | 18.1 |
| 3 1 1 | 39.41 | 100.0 |
| 2 2 2 | 41.24 | 51.1 |
| 4 0 0 | 47.99 | 9.9 |
| 3 3 1 | 52.61 | 4.8 |
| 4 2 2 | 59.74 | 6.8 |
| 5 1 1 | 63.78 | 32.8 |
| 4 4 0 | 70.21 | 29.9 |
| 5 3 1 | 73.95 | 3.7 |
| 5 3 3 | 83.62 | 11.9 |
| 6 2 2 | 84.81 | 20.5 |

***

# 11
# SbIrAu2
Theoretical PXRD pattern, CuKα. Input: a GGA-PBE-relaxed structure.

```
data_SbIrAu2
_symmetry_space_group_name_H-M 'P 1 m 1'
_symmetry_Int_Tables_number 6
_cell_length_a 3.3090
_cell_length_b 3.8642
_cell_length_c 5.8293
_cell_angle_alpha 90.00
_cell_angle_beta 90.37
_cell_angle_gamma 90.00
loop_
_symmetry_equiv_pos_as_xyz
'x,y,z'
'x,-y,z'
loop_
_atom_site_label
_atom_site_type_symbol
_atom_site_fract_x
_atom_site_fract_y
_atom_site_fract_z
Sb1 Sb 0.0000 0.0000 0.0000
Ir1 Ir 0.4982 0.5000 0.8040
Au1 Au 0.0043 0.0000 0.5244
Au2 Au 0.5025 0.5000 0.3119
```

The 12 most intense peaks (15° ≤ 2θ ≤ 90°), by angle:
| h k l | 2θ/deg | intensity |
| --- | --- | --- |
| 1 1 0 | 35.72 | 100.0 |
| 0 1 2 | 38.70 | 74.1 |
| 1 0 -2 | 41.14 | 31.2 |
| 1 0 2 | 41.42 | 30.7 |
| 0 2 0 | 47.03 | 23.2 |
| 2 0 0 | 55.55 | 14.2 |
| 1 2 -2 | 64.23 | 16.9 |
| 1 2 2 | 64.44 | 16.8 |
| 2 1 -2 | 69.55 | 13.4 |
| 2 1 2 | 69.94 | 13.2 |
| 2 2 0 | 75.64 | 20.0 |
| 1 3 0 | 79.92 | 10.4 |

***

# 12
# Sr2Sb4Ir3Au
Theoretical PXRD pattern, CuKα. Input: a GGA-PBE-relaxed structure.

```
data_Sr2Sb4Ir3Au
_symmetry_space_group_name_H-M 'P -4 m 2'
_symmetry_Int_Tables_number 115
_cell_length_a 4.7105
_cell_length_b 4.7105
_cell_length_c 10.5463
_cell_angle_alpha 90.00
_cell_angle_beta 90.00
_cell_angle_gamma 90.00
loop_
_symmetry_equiv_pos_as_xyz
'x,y,z'
'y,-x,-z'
'-x,-y,z'
'-y,x,-z'
'-x,y,z'
'-y,-x,-z'
'x,-y,z'
'y,x,-z'
loop_
_atom_site_label
_atom_site_type_symbol
_atom_site_fract_x
_atom_site_fract_y
_atom_site_fract_z
Sr1 Sr 0.0000 0.5000 0.2480
Sb1 Sb 0.0000 0.0000 0.5000
Sb2 Sb 0.0000 0.5000 0.8649
Sb3 Sb 0.5000 0.5000 0.5000
Ir1 Ir 0.0000 0.0000 0.0000
Ir2 Ir 0.0000 0.5000 0.6167
Au1 Au 0.5000 0.5000 0.0000
```

The 12 most intense peaks (15° ≤ 2θ ≤ 90°), by angle:
| h k l | 2θ/deg | intensity |
| --- | --- | --- |
| 0 0 2 | 16.81 | 24.0 |
| 1 0 1 | 20.65 | 18.9 |
| 1 1 2 | 31.77 | 100.0 |
| 2 0 0 | 38.21 | 60.7 |
| 1 1 4 | 43.79 | 51.1 |
| 1 0 5 | 47.21 | 11.0 |
| 2 1 3 | 50.51 | 20.4 |
| 2 2 0 | 55.15 | 20.9 |
| 1 1 6 | 59.47 | 12.5 |
| 3 1 2 | 65.06 | 21.4 |
| 3 1 4 | 72.94 | 21.4 |
| 2 0 8 | 84.17 | 13.0 |

***

# 13
# Sc5Ir2Au2
Theoretical PXRD pattern, CuKα. Input: a GGA-PBE-relaxed structure.

```
data_Sc5Ir2Au2
_symmetry_space_group_name_H-M 'C m c e'
_symmetry_Int_Tables_number 64
_symmetry_space_group_name_Hall '-C 2ac 2'
_cell_length_a 14.7506
_cell_length_b 6.9344
_cell_length_c 7.0968
_cell_angle_alpha 90.00
_cell_angle_beta 90.00
_cell_angle_gamma 90.00
loop_
_atom_site_label
_atom_site_type_symbol
_atom_site_fract_x
_atom_site_fract_y
_atom_site_fract_z
Sc1 Sc 0.0000 0.0000 0.0000
Sc2 Sc 0.1292 0.1741 0.3266
Ir1 Ir 0.0000 0.1330 0.6358
Au1 Au 0.2119 0.0000 0.0000
```

The 12 most intense peaks (15° ≤ 2θ ≤ 90°), by angle:
| h k l | 2θ/deg | intensity |
| --- | --- | --- |
| 4 0 0 | 24.13 | 50.6 |
| 3 1 1 | 25.51 | 100.0 |
| 2 0 2 | 27.90 | 40.2 |
| 2 2 0 | 28.45 | 35.5 |
| 2 2 1 | 31.17 | 41.4 |
| 3 1 2 | 33.73 | 57.1 |
| 0 2 2 | 36.22 | 42.4 |
| 4 2 1 | 37.80 | 49.7 |
| 1 1 3 | 40.76 | 39.3 |
| 7 1 1 | 46.84 | 48.8 |
| 5 1 3 | 51.22 | 41.6 |
| 5 3 1 | 51.88 | 38.5 |